No. 1
Starting from the PBE geometry in Alexandria, the XRD peak list of RbAcPbF6 was calculated for Cu Kα X-rays.
Kinematic intensities with the Lorentz-polarization factor, no thermal factor.

Top 6 peaks for 2θ from 10° to 80°, in order of rising 2θ:
2θ 11.7, I = 100.0
2θ 12.1, I = 45.7
2θ 22.9, I = 81.7
2θ 23.4, I = 40.3
2θ 23.6, I = 47.9
2θ 24.4, I = 91.4

Cell lengths 9.1533, 9.1533, 9.1533 Å; angles 122.63, 119.76, 87.96 degrees
Sites, in units of the cell vectors:
Rb (0.2673, 0.0173, 0.2500)
Rb (0.7327, 0.9827, 0.7500)
Ac (0.0000, 0.5000, 0.5000)
Ac (0.5000, 0.5000, 0.0000)
Pb (0.0000, 0.0000, 0.5000)
Pb (0.0000, 0.5000, 0.0000)
F (0.0373, 0.4020, 0.2207)
F (0.0373, 0.8166, 0.6353)
F (0.0700, 0.8200, 0.2500)
F (0.3143, 0.5643, 0.7500)
F (0.3186, 0.1834, 0.7207)
F (0.3186, 0.5980, 0.1353)
F (0.6814, 0.4020, 0.8647)
F (0.6814, 0.8166, 0.2793)
F (0.6857, 0.4357, 0.2500)
F (0.9300, 0.1800, 0.7500)
F (0.9627, 0.1834, 0.3647)
F (0.9627, 0.5980, 0.7793)

No. 2
Starting from the PBE geometry in Alexandria, the XRD peak list of Ac3RhPbF was calculated for Cu Kα X-rays.
Kinematic intensities with the Lorentz-polarization factor, no thermal factor.

Top 6 peaks for 2θ from 10° to 80°, in order of rising 2θ:
2θ 27.9, I = 100.0
2θ 28.1, I = 33.9
2θ 28.5, I = 35.1
2θ 28.9, I = 19.4
2θ 41.5, I = 28.7
2θ 44.5, I = 21.0

Cell lengths 9.6597, 4.3485, 9.7979 Å; angles 90.00, 106.18, 90.00 degrees
Sites, in units of the cell vectors:
Ac (0.0529, 0.2500, 0.3379)
Ac (0.2986, 0.2500, 0.9717)
Ac (0.3717, 0.7500, 0.6314)
Ac (0.6283, 0.2500, 0.3686)
Ac (0.7014, 0.7500, 0.0283)
Ac (0.9471, 0.7500, 0.6621)
Rh (0.1640, 0.2500, 0.6571)
Rh (0.8360, 0.7500, 0.3429)
Pb (0.3144, 0.7500, 0.2566)
Pb (0.6856, 0.2500, 0.7434)
F (0.4251, 0.7500, 0.9172)
F (0.5749, 0.2500, 0.0828)

Which formula does entry 2 have? Ac3RhPbF